Theoretical PXRD pattern
Compound: LiNiP2O7
Radiation: Cu Kα, 1.54184 Å
Structure: the PBE+U geometry in Alexandria
Lines closer than 0.1° are merged.

Peak list (10 most intense, 10 to 90 degrees two-theta, most intense first)
d = 7.103 Å, 2θ 12.5, I = 100; d = 3.253 Å, 2θ 27.4, I = 75; d = 3.428 Å, 2θ 26.0, I = 23; d = 4.262 Å, 2θ 20.8, I = 23; d = 2.939 Å, 2θ 30.4, I = 19; d = 3.902 Å, 2θ 22.8, I = 19; d = 3.219 Å, 2θ 27.7, I = 12; d = 3.150 Å, 2θ 28.3, I = 11; d = 2.559 Å, 2θ 35.1, I = 10; d = 2.976 Å, 2θ 30.0, I = 9

Crystal structure
```
22
Lattice="7.4675 -2.4847 0.0000 7.4675 2.4847 0.0000 -2.6575 0.0000 8.1860" Properties=species:S:1:pos:R:3 pbc="T T T"
Li 6.1387 1.6600 4.0930
Li 7.4675 -1.6600 0.0000
Ni 2.9291 0.0575 0.2404
Ni 1.6004 -0.0575 4.3334
P 8.3861 0.6653 1.8649
P 11.0883 0.6995 2.6189
P 7.0574 -0.6653 5.9579
P 9.7596 -0.6995 6.7118
O 2.6839 1.0285 5.4216
O 1.8495 0.8361 7.8498
O 8.7896 1.7760 0.8320
O 7.9588 1.3420 3.2001
O 3.1782 -0.8361 3.7568
O 6.0406 0.2840 5.4390
O 4.0127 -1.0285 1.3286
O 7.3693 -0.2840 1.3460
O 8.4215 0.1710 6.3040
O 9.7503 -0.1710 2.2110
O 10.8438 0.2377 7.1157
O 6.6300 -1.3420 7.2931
O 12.1725 -0.2377 3.0227
O 7.4609 -1.7760 4.9249
```